Record 1
Computed powder XRD pattern of TiAlBi2O6 for Cu Ka, from a structure optimized by DFT (GGA-PBE).
Neutral-atom scattering factors, no anomalous dispersion.

Main lines, low angle first (2θ from 10° to 90°):
h k l	2theta	I_rel
0 0 2	22.45	52
1 1 -1	23.06	100
1 1 1	32.14	96
1 1 -3	32.67	92
2 0 -2	32.84	95
2 2 -2	47.13	48

Structure:
```
data_TiAlBi2O6
_chemical_formula_sum 'Ti2 Al2 Bi4 O12'
_symmetry_space_group_name_H-M 'P 1 21/c 1'
_symmetry_Int_Tables_number 14
_cell_length_a 5.450
_cell_length_b 5.459
_cell_length_c 9.515
_cell_angle_alpha 90.00
_cell_angle_beta 123.66
_cell_angle_gamma 90.00
loop_
_symmetry_equiv_pos_as_xyz
'x,y,z'
'-x,-y,-z'
'-x,y+1/2,-z+1/2'
'x,-y+1/2,z+1/2'
loop_
_atom_site_label
_atom_site_type_symbol
_atom_site_fract_x
_atom_site_fract_y
_atom_site_fract_z
Ti1 Ti 0.000 0.000 0.000
Al1 Al 0.500 0.000 0.500
Bi1 Bi 0.262 0.024 0.751
O1 O 0.192 0.195 0.487
O2 O 0.296 0.704 0.489
O3 O 0.298 0.011 0.255
```

=====

Record 2
Computed powder XRD pattern of Na4Bi5Pt2 for Cu Ka, from a structure optimized by DFT (GGA-PBE).
Neutral-atom scattering factors, no anomalous dispersion.

Main lines, low angle first (2θ from 10° to 90°):
h k l	2theta	I_rel
0 1 0	26.21	100
1 1 2	33.62	43
3 0 -1	34.17	44
2 0 3	34.92	47
1 0 -4	35.21	43
2 1 3	44.19	40

Structure:
```
data_Na4Bi5Pt2
_chemical_formula_sum 'Na4 Bi5 Pt2'
_symmetry_space_group_name_H-M 'P 1 2/m 1'
_symmetry_Int_Tables_number 10
_cell_length_a 8.021
_cell_length_b 3.400
_cell_length_c 10.565
_cell_angle_alpha 90.00
_cell_angle_beta 93.32
_cell_angle_gamma 90.00
loop_
_symmetry_equiv_pos_as_xyz
'x,y,z'
'-x,-y,-z'
'-x,y,-z'
'x,-y,z'
loop_
_atom_site_label
_atom_site_type_symbol
_atom_site_fract_x
_atom_site_fract_y
_atom_site_fract_z
Na1 Na 0.165 0.000 0.377
Na2 Na 0.241 0.000 0.946
Bi1 Bi 0.175 0.500 0.685
Bi2 Bi 0.411 0.500 0.187
Bi3 Bi 0.500 0.500 0.500
Pt1 Pt 0.063 0.500 0.129
```

=====

Record 3
Computed powder XRD pattern of CePuAl2 for Cu Ka, from a structure optimized by DFT (GGA-PBE).
Neutral-atom scattering factors, no anomalous dispersion.

Main lines, low angle first (2θ from 10° to 90°):
h k l	2theta	I_rel
0 2 0	19.15	100
2 0 0	29.67	35
0 2 2	34.67	71
2 2 0	35.55	79
2 0 2	41.70	43
2 2 2	46.26	35

Structure:
```
data_CePuAl2
_chemical_formula_sum 'Ce4 Pu4 Al8'
_symmetry_space_group_name_H-M 'I m m a'
_symmetry_Int_Tables_number 74
_symmetry_space_group_name_Hall '-I 2b 2'
_cell_length_a 6.023
_cell_length_b 9.270
_cell_length_c 6.236
_cell_angle_alpha 90.00
_cell_angle_beta 90.00
_cell_angle_gamma 90.00
loop_
_atom_site_label
_atom_site_type_symbol
_atom_site_fract_x
_atom_site_fract_y
_atom_site_fract_z
Ce1 Ce 0.000 0.250 0.019
Pu1 Pu 0.000 0.250 0.459
Al1 Al 0.250 0.013 0.750
```